No. 1
The following is a simulated powder diffraction line list of PuGe2Pt4. It was derived from a crystal structure in Alexandria, relaxed with GGA-PBE, using λ = 1.5418 Å (Cu Kα).
Lines closer than 0.1° are merged.

Atomic structure:
a = 4.2624 Å, b = 4.2624 Å, c = 24.6665 Å
α = 90.00°, β = 90.00°, γ = 120.00°
Space group R-3m (No. 166, hexagonal axes)
One atom of each set of equivalent atoms:
Pu: 0.0000 0.0000 0.0000 [3 per cell]
Ge: 0.0000 0.0000 0.2395 [6 per cell]
Pt: 0.0000 0.0000 0.1363 [6 per cell]
Pt: 0.0000 0.0000 0.4085 [6 per cell]

Top 6 peaks for 5° ≤ 2θ ≤ 70°, sorted by position:
two_theta  I/Imax  index
30.24  45.3  0 1 5
35.21  75.9  1 0 7
38.03  42.3  0 1 8
42.41  100.0  1 1 0
47.44  21.8  0 1 11
56.27  20.3  0 2 7

---

No. 2
The following is a simulated powder diffraction line list of SrAcPr2As4. It was derived from a crystal structure in Alexandria, relaxed with GGA-PBE, using λ = 1.5418 Å (Cu Kα).
Lines closer than 0.1° are merged.

Atomic structure:
a = 7.6137 Å, b = 4.4049 Å, c = 7.6962 Å
α = 90.00°, β = 109.32°, γ = 90.00°
Space group P2/m (No. 10)
One atom of each set of equivalent atoms:
Sr: 0.0000 0.0000 0.0000 [1 per cell]
Ac: 0.5000 0.5000 0.0000 [1 per cell]
Pr: 0.0000 0.5000 0.5000 [1 per cell]
Pr: 0.5000 0.0000 0.5000 [1 per cell]
As: 0.2464 0.0000 0.7365 [2 per cell]
As: 0.2565 0.5000 0.2648 [2 per cell]

Top 6 peaks for 5° ≤ 2θ ≤ 70°, sorted by position:
two_theta  I/Imax  index
24.75  13.8  2 0 0
28.59  100.0  1 1 1
40.72  38.0  2 0 2
41.02  37.9  0 2 0
50.73  13.6  2 2 -2
66.80  17.1  0 2 4

---

No. 3
The following is a simulated powder diffraction line list of MnCu3Pd7. It was derived from a crystal structure in Alexandria, relaxed with GGA-PBE, using λ = 1.5418 Å (Cu Kα).
Lines closer than 0.1° are merged.

Atomic structure:
a = 8.9899 Å, b = 9.1754 Å, c = 4.7241 Å
α = 90.00°, β = 118.09°, γ = 90.00°
Space group C2/m (No. 12)
One atom of each set of equivalent atoms:
Mn: 0.0000 0.0000 0.0000 [2 per cell]
Cu: 0.0000 0.2723 0.5000 [4 per cell]
Cu: 0.0000 0.5000 0.0000 [2 per cell]
Pd: 0.0000 0.0000 0.5000 [2 per cell]
Pd: 0.1725 0.2715 0.1755 [8 per cell]
Pd: 0.1818 0.5000 0.6276 [4 per cell]

Top 6 peaks for 5° ≤ 2θ ≤ 70°, sorted by position:
two_theta  I/Imax  index
38.17  100.0  2 0 -2
39.28  85.8  0 4 0
42.61  32.6  3 3 -1
42.96  91.3  2 2 1
44.91  72.3  4 2 -1
55.93  53.2  2 4 -2

---

No. 4
The following is a simulated powder diffraction line list of Ca3ZnSi2. It was derived from a crystal structure in Alexandria, relaxed with GGA-PBE, using λ = 1.5418 Å (Cu Kα).
Lines closer than 0.1° are merged.

Atomic structure:
a = 11.7897 Å, b = 4.2579 Å, c = 12.0035 Å
α = 90.00°, β = 90.00°, γ = 90.00°
Space group Pnma (No. 62)
One atom of each set of equivalent atoms:
Ca: 0.0586 0.2500 0.1194 [4 per cell]
Ca: 0.1255 0.7500 0.5610 [4 per cell]
Ca: 0.1998 0.2500 0.8088 [4 per cell]
Zn: 0.1298 0.2500 0.3701 [4 per cell]
Si: 0.0309 0.7500 0.3165 [4 per cell]
Si: 0.1938 0.7500 0.9885 [4 per cell]

Top 6 peaks for 5° ≤ 2θ ≤ 70°, sorted by position:
two_theta  I/Imax  index
16.57  40.4  1 0 2
29.83  42.2  0 0 4
30.68  100.0  0 1 3
34.46  87.6  3 1 2
39.80  44.0  2 1 4
42.46  44.2  0 2 0